# 1
This entry pairs a crystal structure of Ca5MnN4 with its computed powder X-ray diffraction pattern. Radiation: Cu Kα (λ = 1.5418 Å). Structure: a crystal structure in Alexandria, relaxed with GGA-PBE.
Lines closer than 0.1° are merged.

Atomic structure:
a b c (Å): 7.4434 7.9113 5.8443
angles (deg): 90.00 90.00 90.00
Atoms (fractional coordinates):
1 Ca 0.0018 0.0519 0.2439
2 Ca 0.0018 0.4481 0.2439
3 Ca 0.2500 0.2500 0.6960
4 Ca 0.4982 0.0519 0.2439
5 Ca 0.4982 0.4481 0.2439
6 Ca 0.5018 0.5519 0.7561
7 Ca 0.5018 0.9481 0.7561
8 Ca 0.7500 0.7500 0.3040
9 Ca 0.9982 0.5519 0.7561
10 Ca 0.9982 0.9481 0.7561
11 Mn 0.2500 0.7500 0.2921
12 Mn 0.7500 0.2500 0.7079
13 N 0.0169 0.7500 0.0846
14 N 0.2500 0.5143 0.4886
15 N 0.2500 0.9857 0.4886
16 N 0.4831 0.7500 0.0846
17 N 0.5169 0.2500 0.9154
18 N 0.7500 0.0143 0.5114
19 N 0.7500 0.4857 0.5114
20 N 0.9831 0.2500 0.9154

Peak list (10 most intense, 10 to 80 degrees two-theta, low angle first)
2θ/deg  Rel. int.
18.88  18
28.43  16
30.62  100
33.05  44
37.41  59
45.65  66
48.95  21
54.41  12
63.19  21
66.13  20



# 2
This entry pairs a crystal structure of Ca6MnN5 with its computed powder X-ray diffraction pattern. Radiation: Cu Kα (λ = 1.5418 Å). Structure: a crystal structure in Alexandria, relaxed with GGA-PBE.
Lines closer than 0.1° are merged.

Atomic structure:
a b c (Å): 6.2321 6.2321 12.3498
angles (deg): 90.00 90.00 120.00
Atoms (fractional coordinates):
1 Ca 0.0000 0.3944 0.1183
2 Ca 0.0000 0.3944 0.3817
3 Ca 0.0000 0.6056 0.6183
4 Ca 0.0000 0.6056 0.8817
5 Ca 0.3944 0.0000 0.1183
6 Ca 0.3944 0.0000 0.3817
7 Ca 0.3944 0.3944 0.6183
8 Ca 0.3944 0.3944 0.8817
9 Ca 0.6056 0.0000 0.6183
10 Ca 0.6056 0.0000 0.8817
11 Ca 0.6056 0.6056 0.1183
12 Ca 0.6056 0.6056 0.3817
13 Mn 0.0000 0.0000 0.2500
14 Mn 0.0000 0.0000 0.7500
15 N 0.0000 0.2862 0.7500
16 N 0.0000 0.7138 0.2500
17 N 0.2862 0.0000 0.7500
18 N 0.2862 0.2862 0.2500
19 N 0.3333 0.6667 0.0000
20 N 0.3333 0.6667 0.5000
21 N 0.6667 0.3333 0.0000
22 N 0.6667 0.3333 0.5000
23 N 0.7138 0.0000 0.2500
24 N 0.7138 0.7138 0.7500

Peak list (10 most intense, 10 to 80 degrees two-theta, low angle first)
2θ/deg  Rel. int.
21.87  84
29.57  47
33.20  49
33.44  38
36.15  100
41.16  65
45.04  25
46.93  35
50.75  37
69.83  20



# 3
This entry pairs a crystal structure of Ca11Mn2N10 with its computed powder X-ray diffraction pattern. Radiation: Cu Kα (λ = 1.5418 Å). Structure: a crystal structure in Alexandria, relaxed with GGA-PBE.
Lines closer than 0.1° are merged.

Atomic structure:
a b c (Å): 6.1360 6.1360 12.3824
angles (deg): 91.62 91.62 117.46
Atoms (fractional coordinates):
1 Ca 0.0000 0.0000 0.0000
2 Ca 0.0066 0.6207 0.2380
3 Ca 0.1605 0.7673 0.4992
4 Ca 0.2082 0.5960 0.0079
5 Ca 0.2144 0.2144 0.2546
6 Ca 0.2218 0.7891 0.7514
7 Ca 0.4165 0.4165 0.6175
8 Ca 0.5960 0.2082 0.0079
9 Ca 0.6207 0.0066 0.2380
10 Ca 0.7673 0.1605 0.4992
11 Ca 0.7891 0.2218 0.7514
12 Mn 0.5943 0.5943 0.8694
13 Mn 0.6264 0.6264 0.3776
14 N 0.0564 0.4494 0.6219
15 N 0.2759 0.9434 0.1240
16 N 0.3362 0.3362 0.8953
17 N 0.3618 0.6468 0.3526
18 N 0.4494 0.0564 0.6219
19 N 0.5904 0.8763 0.8881
20 N 0.6468 0.3618 0.3526
21 N 0.8763 0.5904 0.8881
22 N 0.9001 0.9001 0.3620
23 N 0.9434 0.2759 0.1240

Peak list (10 most intense, 10 to 80 degrees two-theta, low angle first)
2θ/deg  Rel. int.
21.25  63
22.25  99
29.86  68
32.31  66
32.65  53
32.95  49
33.66  84
34.19  39
34.68  39
37.01  100